For AlAg2Te5, the PBE geometry in Alexandria gives the simulated powder XRD pattern in this record (λ = 1.5418 Å (Cu Kα)).
Lines closer than 0.1° are merged.

Crystal structure
abc: 6.072 6.500 6.586
angles: 83.50 63.45 76.68
Space group P1 (No. 1)
Inequivalent atoms, fractional coordinates:
Al 0.000 0.000 0.000 [1 per cell]
Ag 0.477 0.526 0.487 [1 per cell]
Ag 0.981 0.497 0.491 [1 per cell]
Te 0.173 0.573 0.952 [1 per cell]
Te 0.174 0.067 0.513 [1 per cell]
Te 0.458 0.995 0.999 [1 per cell]
Te 0.738 0.917 0.479 [1 per cell]
Te 0.743 0.412 0.032 [1 per cell]

Principal peaks in the range 2θ = 10–90°, most intense first:
| Position (°2θ) | I_rel | index |
| --- | --- | --- |
| 30.3 | 100 | 2 1 1 |
| 28.2 | 35 | 0 2 0 |
| 24.2 | 24 | 1 -1 1 |
| 43.1 | 19 | 2 1 -1 |
| 36.4 | 18 | 2 -1 1 |
| 43.7 | 16 | 2 1 3 |
| 29.8 | 14 | 1 2 0 |
| 41.7 | 14 | 0 2 2 |
| 46.8 | 12 | 2 3 1 |
| 47.6 | 10 | -2 1 1 |